Diffraction record for TaMo7. The X-ray powder pattern is theoretical, not measured: it uses a cell relaxed with PBE and Cu Kα X-rays.

Principal peaks in the range 2θ from 10° to 80°, most intense first:
(hkl)	2θ (°)	I/Imax
2 2 0	40.11	100
4 2 2	72.88	33
4 0 0	58.02	16
1 1 0	19.75	5
2 1 1	34.55	3
3 2 1	53.96	2
3 1 0	45.09	1
2 0 0	28.07	1
5 1 0	76.37	1
4 1 1	61.91	1

Crystal structure
```
data_TaMo7
_chemical_formula_sum 'Ta2 Mo14'
_cell_length_a 6.359
_cell_length_b 6.359
_cell_length_c 6.359
_cell_angle_alpha 90.00
_cell_angle_beta 90.00
_cell_angle_gamma 90.00
_symmetry_space_group_name_H-M 'P 1'
_symmetry_Int_Tables_number 1
loop_
_symmetry_equiv_pos_as_xyz
'x,y,z'
loop_
_atom_site_label
_atom_site_type_symbol
_atom_site_fract_x
_atom_site_fract_y
_atom_site_fract_z
Ta1 Ta 0.000 0.000 0.000
Ta2 Ta 0.500 0.500 0.500
Mo1 Mo 0.000 0.000 0.500
Mo2 Mo 0.000 0.500 0.000
Mo3 Mo 0.000 0.500 0.500
Mo4 Mo 0.250 0.250 0.250
Mo5 Mo 0.250 0.250 0.750
Mo6 Mo 0.250 0.750 0.250
Mo7 Mo 0.250 0.750 0.750
Mo8 Mo 0.500 0.000 0.000
Mo9 Mo 0.500 0.000 0.500
Mo10 Mo 0.500 0.500 0.000
Mo11 Mo 0.750 0.250 0.250
Mo12 Mo 0.750 0.250 0.750
Mo13 Mo 0.750 0.750 0.250
Mo14 Mo 0.750 0.750 0.750
```